1.
Starting from a cell relaxed with GGA-PBE, the X-ray powder pattern of TiCrAgS4 was computed for Cu Kα X-rays.
Neutral-atom scattering factors, no anomalous dispersion.

Principal peaks in the range 2θ from 10° to 90°, low angle first:
two_theta, I_rel
24.55, 100
28.60, 64
28.82, 55
28.99, 60
45.81, 32
50.33, 98

Atomic structure:
```
TiCrAgS4
1.0
-3.6248 3.6762 5.0951
3.6248 -3.6762 5.0951
3.6248 3.6762 -5.0951
Ti Cr Ag S
2 2 2 8
direct
0.2223 0.2500 0.4723
0.2777 0.7500 0.0277
0.2500 0.2549 0.0049
0.7500 0.2451 0.4951
0.6215 0.8715 0.7500
0.8785 0.6285 0.2500
0.0091 0.4804 0.9639
0.0117 0.4947 0.5303
0.0165 0.0452 0.5361
0.0356 0.0053 0.0170
0.4644 0.4814 0.9697
0.4835 0.0196 0.0287
0.4883 0.0186 0.4830
0.4909 0.4548 0.4713
```

***

2.
Starting from a cell relaxed with GGA-PBE, the X-ray powder pattern of TiCrAgS4 was computed for Cu Kα X-rays.
Neutral-atom scattering factors, no anomalous dispersion.

Principal peaks in the range 2θ from 10° to 90°, low angle first:
two_theta, I_rel
20.98, 73
27.52, 61
33.26, 59
34.22, 100
35.92, 56
41.91, 56

Atomic structure:
```
TiCrAgS4
1.0
3.4682 0.0000 0.0000
0.0000 11.2678 0.0000
0.0000 0.0000 12.8331
Ti Cr Ag S
4 4 4 16
direct
0.0000 0.1683 0.0000
0.0000 0.6963 0.1902
0.5000 0.3037 0.6902
0.5000 0.8317 0.5000
0.0000 0.1981 0.4756
0.0000 0.6701 0.6807
0.5000 0.3299 0.1807
0.5000 0.8019 0.9756
0.0000 0.0181 0.2821
0.0000 0.5097 0.4020
0.5000 0.4903 0.9020
0.5000 0.9819 0.7821
0.0000 0.1575 0.6572
0.0000 0.2962 0.3016
0.0000 0.3695 0.0533
0.0000 0.4502 0.7321
0.0000 0.6596 0.0114
0.0000 0.7930 0.3733
0.0000 0.8718 0.6289
0.0000 0.9454 0.9441
0.5000 0.0546 0.4441
0.5000 0.1282 0.1289
0.5000 0.2070 0.8733
0.5000 0.3404 0.5114
0.5000 0.5498 0.2321
0.5000 0.6305 0.5533
0.5000 0.7038 0.8016
0.5000 0.8425 0.1572
```